# YTcTe2
Theoretical PXRD pattern, Cu Kα (λ = 1.5418 Å). Input: a structure optimized by DFT (PBE).
Kinematic intensities with the Lorentz-polarization factor, no thermal factor.

Main lines, by angle (2θ = 5–70°):
- hkl 2 0 0, 17.25 deg, I = 13
- hkl 2 0 -1, 21.06 deg, I = 18
- hkl 1 1 1, 33.24 deg, I = 100
- hkl 4 0 0, 34.91 deg, I = 43
- hkl 2 0 -2, 35.12 deg, I = 32
- hkl 0 0 2, 35.62 deg, I = 20
- hkl 3 1 -1, 37.21 deg, I = 80
- hkl 3 1 1, 43.83 deg, I = 22
- hkl 0 2 0, 51.12 deg, I = 18
- hkl 4 2 0, 63.40 deg, I = 15

Structure:
abc: 10.684 3.574 5.239
angles: 90.00 105.82 90.00
Space group Cm (No. 8)
Asymmetric unit:
Y1 0.000 0.000 0.000 (multiplicity 2)
Tc1 0.288 0.500 0.315 (multiplicity 2)
Te1 0.260 0.000 0.896 (multiplicity 2)
Te2 0.483 0.000 0.492 (multiplicity 2)

# ZnTc3Te
Theoretical PXRD pattern, Cu Kα (λ = 1.5418 Å). Input: a structure optimized by DFT (PBE).
Kinematic intensities with the Lorentz-polarization factor, no thermal factor.

Main lines, by angle (2θ = 5–70°):
- hkl 1 0 0, 19.38 deg, I = 6
- hkl 1 1 0, 27.54 deg, I = 18
- hkl 1 1 1, 33.90 deg, I = 100
- hkl 2 0 0, 39.34 deg, I = 98
- hkl 2 1 0, 44.21 deg, I = 3
- hkl 2 1 1, 48.69 deg, I = 8
- hkl 2 2 0, 56.85 deg, I = 65
- hkl 3 0 0, 60.65 deg, I = 1
- hkl 3 1 0, 64.31 deg, I = 3
- hkl 3 1 1, 67.86 deg, I = 39

Structure:
abc: 4.581 4.581 4.581
angles: 90.00 90.00 90.00
Space group Pm-3m (No. 221)
Asymmetric unit:
Zn1 0.000 0.000 0.000 (multiplicity 1)
Tc1 0.000 0.000 0.500 (multiplicity 3)
Te1 0.500 0.500 0.500 (multiplicity 1)

# Zr3TcTe
Theoretical PXRD pattern, Cu Kα (λ = 1.5418 Å). Input: a structure optimized by DFT (PBE).
Kinematic intensities with the Lorentz-polarization factor, no thermal factor.

Main lines, by angle (2θ = 5–70°):
- hkl 1 0 0, 17.60 deg, I = 12
- hkl 1 1 0, 25.00 deg, I = 34
- hkl 1 1 1, 30.74 deg, I = 72
- hkl 2 0 0, 35.64 deg, I = 100
- hkl 2 1 1, 44.03 deg, I = 15
- hkl 2 2 0, 51.29 deg, I = 69
- hkl 3 1 0, 57.88 deg, I = 7
- hkl 3 1 1, 61.00 deg, I = 29
- hkl 2 2 2, 64.02 deg, I = 23
- hkl 3 2 1, 69.85 deg, I = 7

Structure:
abc: 5.038 5.038 5.038
angles: 90.00 90.00 90.00
Space group Pm-3m (No. 221)
Asymmetric unit:
Zr1 0.000 0.000 0.500 (multiplicity 3)
Tc1 0.000 0.000 0.000 (multiplicity 1)
Te1 0.500 0.500 0.500 (multiplicity 1)

# Zr2TcTe
Theoretical PXRD pattern, Cu Kα (λ = 1.5418 Å). Input: a structure optimized by DFT (PBE).
Kinematic intensities with the Lorentz-polarization factor, no thermal factor.

Main lines, by angle (2θ = 5–70°):
- hkl 1 1 0, 33.39 deg, I = 100
- hkl 0 0 2, 33.77 deg, I = 24
- hkl 1 0 -2, 35.76 deg, I = 17
- hkl 0 1 2, 39.62 deg, I = 37
- hkl 0 2 0, 40.86 deg, I = 33
- hkl 1 1 1, 41.36 deg, I = 57
- hkl 2 0 -1, 51.28 deg, I = 17
- hkl 0 2 2, 54.01 deg, I = 12
- hkl 2 1 -3, 66.68 deg, I = 15
- hkl 2 2 -1, 67.55 deg, I = 15

Structure:
abc: 3.563 4.417 5.599
angles: 90.00 108.55 90.00
Space group Pm (No. 6)
Asymmetric unit:
Zr1 0.000 0.000 0.000 (multiplicity 1)
Zr2 0.303 0.500 0.606 (multiplicity 1)
Tc1 0.545 0.500 0.095 (multiplicity 1)
Te1 0.722 0.000 0.444 (multiplicity 1)

Copy entry 3 word for word.
# Zr3TcTe
Theoretical PXRD pattern, Cu Kα (λ = 1.5418 Å). Input: a structure optimized by DFT (PBE).
Kinematic intensities with the Lorentz-polarization factor, no thermal factor.

Main lines, by angle (2θ = 5–70°):
- hkl 1 0 0, 17.60 deg, I = 12
- hkl 1 1 0, 25.00 deg, I = 34
- hkl 1 1 1, 30.74 deg, I = 72
- hkl 2 0 0, 35.64 deg, I = 100
- hkl 2 1 1, 44.03 deg, I = 15
- hkl 2 2 0, 51.29 deg, I = 69
- hkl 3 1 0, 57.88 deg, I = 7
- hkl 3 1 1, 61.00 deg, I = 29
- hkl 2 2 2, 64.02 deg, I = 23
- hkl 3 2 1, 69.85 deg, I = 7

Structure:
abc: 5.038 5.038 5.038
angles: 90.00 90.00 90.00
Space group Pm-3m (No. 221)
Asymmetric unit:
Zr1 0.000 0.000 0.500 (multiplicity 3)
Tc1 0.000 0.000 0.000 (multiplicity 1)
Te1 0.500 0.500 0.500 (multiplicity 1)